This entry pairs a crystal structure of LiAc2TcO8 with its theoretical XRD peak list. Radiation: a wavelength of 1.5418 Å. Structure: a DFT-relaxed cell (PBE, Alexandria).
Intensities are scaled so that the largest is 100.

Top 8 peaks for 2θ = 10–90°, in order of rising 2θ:
- 2θ = 11.2°, I = 32
- 2θ = 18.0°, I = 39
- 2θ = 19.8°, I = 42
- 2θ = 24.3°, I = 64
- 2θ = 29.0°, I = 100
- 2θ = 29.3°, I = 42
- 2θ = 30.2°, I = 55
- 2θ = 45.0°, I = 37

Cell lengths 4.5504, 7.8968, 5.0068 Å; angles 90.00, 100.57, 90.00 degrees
Fractional positions:
Li 0.0000 0.0000 0.0000
Ac 0.5000 0.2579 0.5000
Ac 0.5000 0.7421 0.5000
Tc 0.0000 0.5000 0.0000
O 0.0873 0.3197 0.7710
O 0.0873 0.6803 0.7710
O 0.3893 0.5000 0.2120
O 0.4461 0.0000 0.1350
O 0.5539 0.0000 0.8650
O 0.6107 0.5000 0.7880
O 0.9127 0.3197 0.2290
O 0.9127 0.6803 0.2290



This entry pairs a crystal structure of Pm3Pr3Pt4 with its theoretical XRD peak list. Radiation: a wavelength of 1.5418 Å. Structure: a DFT-relaxed cell (PBE, Alexandria).
Intensities are scaled so that the largest is 100.

Top 8 peaks for 2θ = 10–90°, in order of rising 2θ:
- 2θ = 31.4°, I = 16
- 2θ = 33.4°, I = 100
- 2θ = 35.3°, I = 21
- 2θ = 35.4°, I = 21
- 2θ = 44.9°, I = 15
- 2θ = 58.4°, I = 20
- 2θ = 66.8°, I = 10
- 2θ = 75.5°, I = 10

Cell lengths 4.0349, 8.0303, 8.0303 Å; angles 89.71, 90.00, 90.00 degrees
Fractional positions:
Pm 0.0000 0.0000 0.0000
Pm 0.0000 0.5012 0.8265
Pm 0.0000 0.8265 0.5012
Pr 0.0000 0.3259 0.3259
Pr 0.5000 0.1634 0.6639
Pr 0.5000 0.6639 0.1634
Pt 0.5000 0.0277 0.2943
Pt 0.5000 0.2943 0.0277
Pt 0.5000 0.5339 0.5339
Pt 0.5000 0.7964 0.7964



This entry pairs a crystal structure of Pr4Al3Si with its theoretical XRD peak list. Radiation: a wavelength of 1.5418 Å. Structure: a DFT-relaxed cell (PBE, Alexandria).
Intensities are scaled so that the largest is 100.

Top 8 peaks for 2θ = 10–90°, in order of rising 2θ:
- 2θ = 21.0°, I = 32
- 2θ = 26.4°, I = 64
- 2θ = 30.1°, I = 100
- 2θ = 30.3°, I = 60
- 2θ = 30.9°, I = 27
- 2θ = 37.4°, I = 29
- 2θ = 48.2°, I = 25
- 2θ = 54.0°, I = 24

Cell lengths 4.1572, 4.5502, 11.5925 Å; angles 90.00, 90.00, 90.00 degrees
Fractional positions:
Pr 0.0000 0.0000 0.0000
Pr 0.0000 0.5000 0.4903
Pr 0.5000 0.0000 0.7078
Pr 0.5000 0.5000 0.2117
Al 0.0000 0.5000 0.7834
Al 0.5000 0.0000 0.4139
Al 0.5000 0.5000 0.9241
Si 0.0000 0.0000 0.2818



This entry pairs a crystal structure of BaSrGa4 with its theoretical XRD peak list. Radiation: a wavelength of 1.5418 Å. Structure: a DFT-relaxed cell (PBE, Alexandria).
Intensities are scaled so that the largest is 100.

Top 8 peaks for 2θ = 10–90°, in order of rising 2θ:
- 2θ = 29.5°, I = 100
- 2θ = 36.1°, I = 18
- 2θ = 41.0°, I = 40
- 2θ = 51.4°, I = 21
- 2θ = 55.8°, I = 31
- 2θ = 60.9°, I = 12
- 2θ = 67.7°, I = 18
- 2θ = 85.9°, I = 9

Cell lengths 4.3995, 4.3995, 9.9596 Å; angles 90.00, 90.00, 120.00 degrees
Fractional positions:
Ba 0.0000 0.0000 0.0000
Sr 0.0000 0.0000 0.5000
Ga 0.3333 0.6667 0.2604
Ga 0.3333 0.6667 0.7396
Ga 0.6667 0.3333 0.2604
Ga 0.6667 0.3333 0.7396